Theoretical powder diffractogram
Compound: HoHf2Cu6
Radiation: Cu Kα X-rays
Structure: a PBE-relaxed structure

Largest 8 diffraction maxima, by intensity, 10° ≤ 2θ ≤ 90°:
38.30 deg, rel. 1000; 42.40 deg, rel. 620; 24.10 deg, rel. 293; 58.45 deg, rel. 287; 74.83 deg, rel. 272; 76.92 deg, rel. 203; 77.56 deg, rel. 99; 60.81 deg, rel. 69

Crystal structure
Cell: 7.3851 7.3851 3.0467 Å, 90.00 90.00 120.00°
Atoms (fractional coordinates):
Ho  0.0000  0.0000  0.0000
Hf  0.3333  0.6667  0.0000
Hf  0.6667  0.3333  0.0000
Cu  0.0000  0.3370  0.5000
Cu  0.0000  0.6630  0.5000
Cu  0.3370  0.0000  0.5000
Cu  0.3370  0.3370  0.5000
Cu  0.6630  0.0000  0.5000
Cu  0.6630  0.6630  0.5000